No. 1
This entry pairs a crystal structure of As2H5Pd12 with its computed PXRD pattern. Radiation: Cu Ka. Structure: the PBE geometry in Alexandria.
No peak broadening, texture or thermal motion is included.

Cell and atoms:
```
data_As2H5Pd12
_chemical_formula_sum 'As4 H10 Pd24'
_space_group_name_H-M_alt 'C 1 2/m 1'
_space_group_IT_number 12
_space_group_name_Hall '-C 2y'
_cell_length_a 12.399
_cell_length_b 5.840
_cell_length_c 7.093
_cell_angle_alpha 90.00
_cell_angle_beta 111.07
_cell_angle_gamma 90.00
loop_
_atom_site_label
_atom_site_type_symbol
_atom_site_fract_x
_atom_site_fract_y
_atom_site_fract_z
As1 As 0.000 0.250 0.000
H1 H 0.000 0.000 0.500
H2 H 0.200 0.500 0.451
H3 H 0.232 0.500 0.934
Pd1 Pd 0.074 0.500 0.775
Pd2 Pd 0.076 0.000 0.780
Pd3 Pd 0.122 0.250 0.461
Pd4 Pd 0.209 0.253 0.158
```

Top 10 peaks for 10 to 90 degrees two-theta, most intense first:
| index | 2θ (°) | I_rel |
| --- | --- | --- |
| 4 0 1 | 38.2 | 100.0 |
| 2 0 -3 | 38.1 | 54.7 |
| 2 2 1 | 39.1 | 53.4 |
| 4 2 -1 | 42.6 | 52.2 |
| 0 2 2 | 41.2 | 49.7 |
| 2 2 -2 | 40.4 | 40.7 |
| 2 2 -3 | 49.7 | 39.5 |
| 4 4 1 | 76.8 | 38.3 |
| 4 0 -2 | 33.0 | 36.1 |
| 2 2 -1 | 34.9 | 35.9 |

***

No. 2
This entry pairs a crystal structure of BaHg2Se2Br with its computed PXRD pattern. Radiation: Cu Ka. Structure: the PBE geometry in Alexandria.
No peak broadening, texture or thermal motion is included.

Cell and atoms:
```
data_BaHg2Se2Br
_chemical_formula_sum 'Ba2 Hg4 Se4 Br2'
_space_group_name_H-M_alt 'P 1 21/m 1'
_space_group_IT_number 11
_space_group_name_Hall '-P 2yb'
_cell_length_a 8.330
_cell_length_b 5.934
_cell_length_c 8.427
_cell_angle_alpha 90.00
_cell_angle_beta 113.30
_cell_angle_gamma 90.00
loop_
_atom_site_label
_atom_site_type_symbol
_atom_site_fract_x
_atom_site_fract_y
_atom_site_fract_z
Ba1 Ba 0.188 0.250 0.338
Hg1 Hg 0.317 0.006 0.902
Se1 Se 0.059 0.250 0.663
Se2 Se 0.149 0.750 0.057
Br1 Br 0.399 0.750 0.597
```

Top 10 peaks for 10 to 90 degrees two-theta, most intense first:
| index | 2θ (°) | I_rel |
| --- | --- | --- |
| 0 2 1 | 32.3 | 100.0 |
| 1 0 -2 | 21.2 | 96.9 |
| 0 0 1 | 11.4 | 95.3 |
| 1 0 -1 | 12.6 | 85.9 |
| 1 2 -1 | 32.8 | 71.1 |
| 3 0 -2 | 33.6 | 65.2 |
| 2 0 1 | 29.9 | 59.6 |
| 3 2 0 | 47.0 | 49.5 |
| 3 2 -1 | 44.8 | 47.9 |
| 1 0 2 | 29.7 | 39.0 |

***

No. 3
This entry pairs a crystal structure of PmZn11Os with its computed PXRD pattern. Radiation: Cu Ka. Structure: the PBE geometry in Alexandria.
No peak broadening, texture or thermal motion is included.

Cell and atoms:
```
data_PmZn11Os
_chemical_formula_sum 'Pm2 Zn22 Os2'
_space_group_name_H-M_alt 'C 1 2/m 1'
_space_group_IT_number 12
_space_group_name_Hall '-C 2y'
_cell_length_a 5.153
_cell_length_b 12.926
_cell_length_c 6.747
_cell_angle_alpha 90.00
_cell_angle_beta 111.56
_cell_angle_gamma 90.00
loop_
_atom_site_label
_atom_site_type_symbol
_atom_site_fract_x
_atom_site_fract_y
_atom_site_fract_z
Pm1 Pm 0.000 0.000 0.000
Zn1 Zn 0.000 0.500 0.500
Zn2 Zn 0.115 0.389 0.220
Zn3 Zn 0.158 0.174 0.358
Zn4 Zn 0.250 0.250 0.000
Os1 Os 0.000 0.000 0.500
```

Top 10 peaks for 10 to 90 degrees two-theta, most intense first:
| index | 2θ (°) | I_rel |
| --- | --- | --- |
| 0 4 2 | 40.1 | 100.0 |
| 2 2 -2 | 40.5 | 44.3 |
| 1 3 -2 | 34.8 | 36.5 |
| 1 5 0 | 39.6 | 31.9 |
| 1 1 2 | 40.3 | 29.3 |
| 1 1 0 | 19.7 | 27.5 |
| 2 4 -1 | 45.0 | 25.6 |
| 0 2 3 | 45.6 | 20.0 |
| 1 1 -2 | 28.5 | 19.1 |
| 2 6 -4 | 73.4 | 16.8 |